Entry 1:
Diffraction record for Tb9Ho3Tm2. The powder XRD pattern is simulated, not measured: it uses DFT lattice parameters and positions (PBE) and Cu Kα X-rays.
Neutral-atom scattering factors, no anomalous dispersion.

Top 8 peaks for 15° ≤ 2θ ≤ 90°, by intensity:
- 2θ 31.0, intensity 100.0
- 2θ 36.0, intensity 33.7
- 2θ 51.7, intensity 30.0
- 2θ 61.5, intensity 25.0
- 2θ 61.6, intensity 17.7
- 2θ 35.9, intensity 16.9
- 2θ 64.6, intensity 12.3
- 2θ 84.5, intensity 11.9

Structural model:
Unit cell a=6.1174 b=9.3502 c=9.3530 alpha=110.84 beta=109.06 gamma=102.70
Fractional coordinates of all 14 atoms:
Tb1 0.0000 0.0000 0.0000
Tb2 0.2145 0.0727 0.7148
Tb3 0.2855 0.4291 0.2849
Tb4 0.3562 0.7847 0.8568
Tb5 0.4289 0.1428 0.4292
Tb6 0.5711 0.8572 0.5708
Tb7 0.6438 0.2153 0.1432
Tb8 0.7145 0.5709 0.7151
Tb9 0.7855 0.9273 0.2852
Ho1 0.0714 0.3570 0.5718
Ho2 0.5000 0.5000 0.0000
Ho3 0.9286 0.6430 0.4282
Tm1 0.1422 0.7134 0.1425
Tm2 0.8578 0.2866 0.8575

Entry 2:
Diffraction record for Tb4Ho11Tm9. The powder XRD pattern is simulated, not measured: it uses DFT lattice parameters and positions (PBE) and Cu Kα X-rays.
Neutral-atom scattering factors, no anomalous dispersion.

Top 8 peaks for 15° ≤ 2θ ≤ 90°, by intensity:
- 2θ 31.2, intensity 100.0
- 2θ 36.5, intensity 30.2
- 2θ 51.8, intensity 20.7
- 2θ 35.4, intensity 18.4
- 2θ 62.3, intensity 15.2
- 2θ 61.0, intensity 12.5
- 2θ 62.4, intensity 11.8
- 2θ 52.5, intensity 6.6

Structural model:
Unit cell a=14.5407 b=14.5407 c=3.4877 alpha=90.00 beta=90.00 gamma=91.69
Fractional coordinates of all 24 atoms:
Tb1 0.0514 0.2211 0.0000
Tb2 0.2211 0.0514 0.0000
Tb3 0.7789 0.9486 0.0000
Tb4 0.9486 0.7789 0.0000
Ho1 0.0852 0.4215 0.5000
Ho2 0.1570 0.8430 0.5000
Ho3 0.2590 0.2590 0.5000
Ho4 0.3300 0.6700 0.5000
Ho5 0.4215 0.0852 0.5000
Ho6 0.5000 0.5000 0.5000
Ho7 0.5785 0.9148 0.5000
Ho8 0.6700 0.3300 0.5000
Ho9 0.7410 0.7410 0.5000
Ho10 0.8430 0.1570 0.5000
Ho11 0.9148 0.5785 0.5000
Tm1 0.0000 0.0000 0.0000
Tm2 0.1232 0.6296 0.0000
Tm3 0.2939 0.4642 0.0000
Tm4 0.3704 0.8768 0.0000
Tm5 0.4642 0.2939 0.0000
Tm6 0.5358 0.7061 0.0000
Tm7 0.6296 0.1232 0.0000
Tm8 0.7061 0.5358 0.0000
Tm9 0.8768 0.3704 0.0000

Entry 3:
Diffraction record for Tb3Ho7Tm2. The powder XRD pattern is simulated, not measured: it uses DFT lattice parameters and positions (PBE) and Cu Kα X-rays.
Neutral-atom scattering factors, no anomalous dispersion.

Top 8 peaks for 15° ≤ 2θ ≤ 90°, by intensity:
- 2θ 33.2, intensity 100.0
- 2θ 32.5, intensity 91.6
- 2θ 31.6, intensity 65.5
- 2θ 62.8, intensity 28.0
- 2θ 50.7, intensity 26.4
- 2θ 29.6, intensity 21.7
- 2θ 31.0, intensity 20.9
- 2θ 57.3, intensity 19.5

Structural model:
Unit cell a=6.2937 b=3.5107 c=16.9997 alpha=90.00 beta=90.16 gamma=90.00
Fractional coordinates of all 12 atoms:
Tb1 0.0000 0.0000 0.0000
Tb2 0.4974 0.5000 0.6587
Tb3 0.5026 0.5000 0.3413
Ho1 0.1754 0.5000 0.1662
Ho2 0.2545 0.0000 0.5020
Ho3 0.3251 0.0000 0.8325
Ho4 0.5000 0.5000 0.0000
Ho5 0.6749 0.0000 0.1675
Ho6 0.7455 0.0000 0.4980
Ho7 0.8246 0.5000 0.8338
Tm1 0.0078 0.0000 0.3262
Tm2 0.9922 0.0000 0.6738